(1)
This entry pairs a crystal structure of PaSeClO with its computed XRD peak list. Radiation: a wavelength of 1.5418 Å. Structure: a structure optimized by DFT (PBE).
Intensities are scaled so that the largest is 100.

Structure:
```
PaSeClO
1.0
3.342 -1.930 0.000
3.342 1.930 0.000
-2.241 0.000 7.497
Pa Se Cl O
1 1 1 1
Cartesian
0.000 0.000 0.000
-0.013 0.000 5.644
2.228 0.000 2.002
4.457 0.000 0.183
```

The 12 most intense peaks (2θ = 10–80°), by angle:
| 2θ (°) | intensity |
| --- | --- |
| 11.80 | 100.0 |
| 26.97 | 31.0 |
| 27.85 | 17.2 |
| 31.13 | 45.0 |
| 33.40 | 31.2 |
| 38.88 | 23.2 |
| 41.99 | 17.4 |
| 47.09 | 21.5 |
| 48.73 | 19.7 |
| 57.53 | 8.2 |
| 60.63 | 10.3 |
| 69.94 | 8.5 |

=====

(2)
This entry pairs a crystal structure of PaZnClO4 with its computed XRD peak list. Radiation: a wavelength of 1.5418 Å. Structure: a structure optimized by DFT (PBE).
Intensities are scaled so that the largest is 100.

Structure:
```
PaZnClO4
1.0
5.204 -3.404 0.000
5.204 3.404 0.000
-0.836 0.000 6.677
Pa Zn Cl O
2 2 2 8
Cartesian
2.183 0.000 0.561
7.388 0.000 6.116
3.497 0.000 4.627
6.074 0.000 2.050
-0.343 0.000 5.035
9.914 0.000 1.642
2.590 1.347 5.775
3.031 0.000 2.729
4.124 0.000 1.726
6.981 1.347 0.902
2.590 -1.347 5.775
5.447 0.000 4.951
6.540 0.000 3.948
6.981 -1.347 0.902
```

The 12 most intense peaks (2θ = 10–80°), by angle:
| 2θ (°) | intensity |
| --- | --- |
| 13.26 | 100.0 |
| 17.17 | 57.5 |
| 19.81 | 48.9 |
| 23.05 | 74.1 |
| 26.18 | 78.3 |
| 30.10 | 56.4 |
| 30.66 | 72.7 |
| 35.16 | 32.1 |
| 37.52 | 27.5 |
| 42.62 | 25.4 |
| 44.74 | 32.0 |
| 49.08 | 24.1 |

=====

(3)
This entry pairs a crystal structure of Pb3Cl2O2 with its computed XRD peak list. Radiation: a wavelength of 1.5418 Å. Structure: a structure optimized by DFT (PBE).
Intensities are scaled so that the largest is 100.

Structure:
```
Pb3Cl2O2
1.0
12.027 0.000 0.000
0.000 5.953 0.000
0.000 0.000 10.001
Pb Cl O
12 8 8
Cartesian
0.652 1.488 2.085
1.015 1.488 5.724
2.542 4.465 3.538
3.472 1.488 8.538
4.999 4.465 0.724
5.362 4.465 7.085
6.666 1.488 2.915
7.028 1.488 9.277
8.555 4.465 1.462
9.486 1.488 6.462
11.013 4.465 4.277
11.375 4.465 7.916
1.508 4.465 0.888
2.384 4.465 6.871
3.630 1.488 1.871
4.506 1.488 5.888
7.522 4.465 4.113
8.397 4.465 8.129
9.644 1.488 3.129
10.519 1.488 9.113
0.901 0.027 3.848
0.901 2.950 3.848
5.112 3.003 8.848
5.112 5.926 8.848
6.915 0.027 1.153
6.915 2.950 1.153
11.126 3.003 6.153
11.126 5.926 6.153
```

The 12 most intense peaks (2θ = 10–80°), by angle:
| 2θ (°) | intensity |
| --- | --- |
| 11.51 | 73.3 |
| 17.21 | 29.0 |
| 22.82 | 77.2 |
| 24.40 | 80.4 |
| 28.28 | 62.4 |
| 28.54 | 60.5 |
| 30.02 | 83.1 |
| 30.73 | 91.5 |
| 31.65 | 54.5 |
| 33.39 | 100.0 |
| 41.90 | 65.9 |
| 51.14 | 30.9 |